# 1
This entry pairs a crystal structure of SmSe with its calculated XRD peak list. Radiation: λ = 1.5418 Å (Cu Kα). Structure: a structure optimized by DFT (GGA-PBE).
Neutral-atom scattering factors, no anomalous dispersion.

Atomic structure:
```
data_SmSe
_chemical_formula_sum 'Sm4 Se4'
_symmetry_space_group_name_H-M 'F m -3 m'
_symmetry_Int_Tables_number 225
_symmetry_space_group_name_Hall '-F 4 2 3'
_cell_length_a 5.9036
_cell_length_b 5.9036
_cell_length_c 5.9036
_cell_angle_alpha 90.00
_cell_angle_beta 90.00
_cell_angle_gamma 90.00
loop_
_atom_site_label
_atom_site_type_symbol
_atom_site_fract_x
_atom_site_fract_y
_atom_site_fract_z
_atom_site_occupancy
Sm1 Sm 0.0000 0.0000 0.0000 1
Se1 Se 0.0000 0.0000 0.5000 1
```

The 7 most intense peaks (2θ = 5–70°), sorted by position:
(1 1 1), 3.408 Å, 26.14°, rel. 18; (2 0 0), 2.952 Å, 30.28°, rel. 100; (2 2 0), 2.087 Å, 43.35°, rel. 75; (3 1 1), 1.780 Å, 51.33°, rel. 9; (2 2 2), 1.704 Å, 53.79°, rel. 26; (4 0 0), 1.476 Å, 62.98°, rel. 12; (3 3 1), 1.354 Å, 69.39°, rel. 4

# 2
This entry pairs a crystal structure of SmSe with its calculated XRD peak list. Radiation: λ = 1.5418 Å (Cu Kα). Structure: a structure optimized by DFT (GGA-PBE).
Neutral-atom scattering factors, no anomalous dispersion.

Atomic structure:
```
data_SmSe
_chemical_formula_sum 'Sm2 Se2'
_symmetry_space_group_name_H-M 'P 63 m c'
_symmetry_Int_Tables_number 186
_symmetry_space_group_name_Hall 'P 6c -2c'
_cell_length_a 4.6536
_cell_length_b 4.6536
_cell_length_c 7.5099
_cell_angle_alpha 90.00
_cell_angle_beta 90.00
_cell_angle_gamma 120.00
loop_
_atom_site_label
_atom_site_type_symbol
_atom_site_fract_x
_atom_site_fract_y
_atom_site_fract_z
_atom_site_occupancy
Sm1 Sm 0.3333 0.6667 0.0000 1
Se1 Se 0.3333 0.6667 0.6221 1
```

The 10 most intense peaks (2θ = 5–70°), sorted by position:
(1 0 0), 4.030 Å, 22.06°, rel. 100; (0 0 2), 3.755 Å, 23.69°, rel. 63; (1 0 1), 3.551 Å, 25.08°, rel. 95; (1 0 2), 2.747 Å, 32.59°, rel. 42; (1 1 0), 2.327 Å, 38.70°, rel. 92; (1 0 3), 2.126 Å, 42.51°, rel. 90; (1 1 2), 1.978 Å, 45.88°, rel. 64; (2 0 1), 1.946 Å, 46.67°, rel. 18; (2 0 3), 1.570 Å, 58.83°, rel. 34; (1 0 5), 1.407 Å, 66.43°, rel. 25

# 3
This entry pairs a crystal structure of SmTlSe2 with its calculated XRD peak list. Radiation: λ = 1.5418 Å (Cu Kα). Structure: a structure optimized by DFT (GGA-PBE).
Neutral-atom scattering factors, no anomalous dispersion.

Atomic structure:
```
data_SmTlSe2
_chemical_formula_sum 'Sm3 Tl3 Se6'
_symmetry_space_group_name_H-M 'R -3 m'
_symmetry_Int_Tables_number 166
_symmetry_space_group_name_Hall '-R 3 2"'
_cell_length_a 4.2865
_cell_length_b 4.2865
_cell_length_c 23.2460
_cell_angle_alpha 90.00
_cell_angle_beta 90.00
_cell_angle_gamma 120.00
loop_
_atom_site_label
_atom_site_type_symbol
_atom_site_fract_x
_atom_site_fract_y
_atom_site_fract_z
_atom_site_occupancy
Sm1 Sm 0.0000 0.0000 0.0000 1
Tl1 Tl 0.0000 0.0000 0.5000 1
Se1 Se 0.0000 0.0000 0.2639 1
```

The 10 most intense peaks (2θ = 5–70°), sorted by position:
(0 0 6), 3.874 Å, 22.95°, rel. 10; (0 1 2), 3.536 Å, 25.18°, rel. 20; (1 0 4), 3.128 Å, 28.53°, rel. 100; (0 1 8), 2.288 Å, 39.38°, rel. 38; (1 1 0), 2.143 Å, 42.16°, rel. 36; (1 1 6), 1.875 Å, 48.54°, rel. 9; (0 2 4), 1.768 Å, 51.70°, rel. 19; (2 0 8), 1.564 Å, 59.06°, rel. 12; (1 1 12), 1.437 Å, 64.88°, rel. 14; (2 1 4), 1.364 Å, 68.84°, rel. 16